Entry 1:
Theoretical XRD peak list of BaYCo2O5 for Cu Kα X-rays, from a cell relaxed with GGA+U.

Atomic structure:
Cell lengths 3.904, 7.689, 7.539 Å; angles 90.00, 90.00, 90.00 degrees
Positions (direct):
Ba 0.000 0.249 0.000
Ba 0.000 0.751 0.000
Y 0.000 0.252 0.500
Y 0.000 0.748 0.500
Co 0.500 0.000 0.264
Co 0.500 0.000 0.734
Co 0.500 0.500 0.263
Co 0.500 0.500 0.740
O 0.000 0.000 0.303
O 0.000 0.000 0.695
O 0.000 0.500 0.304
O 0.000 0.500 0.694
O 0.500 0.000 0.000
O 0.500 0.250 0.318
O 0.500 0.255 0.684
O 0.500 0.500 0.001
O 0.500 0.745 0.684
O 0.500 0.750 0.318

The 10 most intense peaks (2θ = 10–80°), by angle:
| 2θ (°) | I (rel.) |
| --- | --- |
| 32.7 | 83.5 |
| 33.0 | 97.5 |
| 33.3 | 100.0 |
| 40.7 | 26.9 |
| 46.5 | 30.9 |
| 47.3 | 29.3 |
| 48.3 | 19.7 |
| 58.4 | 38.2 |
| 58.9 | 35.8 |
| 59.5 | 39.7 |

=====

Entry 2:
Theoretical XRD peak list of Li4Ti3Mn2Fe3O16 for Cu Kα X-rays, from a cell relaxed with GGA+U.

Atomic structure:
Cell lengths 5.969, 5.969, 9.598 Å; angles 91.82, 91.82, 59.31 degrees
Positions (direct):
Li 0.000 0.000 0.000
Li 0.009 0.009 0.509
Li 0.330 0.330 0.606
Li 0.663 0.663 0.099
Ti 0.166 0.666 0.284
Ti 0.666 0.166 0.284
Ti 0.821 0.821 0.782
Mn 0.328 0.328 0.012
Mn 0.660 0.660 0.515
Fe 0.170 0.170 0.284
Fe 0.335 0.816 0.788
Fe 0.816 0.335 0.788
O 0.043 0.482 0.154
O 0.160 0.656 0.902
O 0.164 0.164 0.903
O 0.331 0.831 0.394
O 0.342 0.342 0.392
O 0.476 0.476 0.156
O 0.482 0.043 0.154
O 0.508 0.508 0.664
O 0.519 0.952 0.654
O 0.656 0.160 0.902
O 0.671 0.671 0.897
O 0.831 0.331 0.394
O 0.844 0.844 0.387
O 0.952 0.519 0.654
O 0.988 0.988 0.696
O 0.998 0.998 0.186

The 10 most intense peaks (2θ = 10–80°), by angle:
| 2θ (°) | I (rel.) |
| --- | --- |
| 18.5 | 98.4 |
| 19.5 | 57.8 |
| 19.8 | 100.0 |
| 34.9 | 53.3 |
| 35.7 | 29.9 |
| 36.0 | 31.4 |
| 40.2 | 37.4 |
| 44.9 | 35.7 |
| 45.7 | 34.1 |
| 62.2 | 48.6 |

=====

Entry 3:
Theoretical XRD peak list of LiZn2Fe4O8 for Cu Kα X-rays, from a cell relaxed with GGA+U.

Atomic structure:
Cell lengths 6.008, 6.008, 6.262 Å; angles 118.94, 118.94, 59.15 degrees
Positions (direct):
Li 0.000 0.000 0.000
Zn 0.000 0.500 0.000
Zn 0.500 0.000 0.000
Fe 0.150 0.150 0.436
Fe 0.500 0.500 0.000
Fe 0.500 0.500 0.500
Fe 0.850 0.850 0.564
O 0.243 0.745 0.758
O 0.254 0.254 0.262
O 0.255 0.757 0.242
O 0.269 0.269 0.802
O 0.731 0.731 0.198
O 0.745 0.243 0.758
O 0.746 0.746 0.738
O 0.757 0.255 0.242

The 10 most intense peaks (2θ = 10–80°), by angle:
| 2θ (°) | I (rel.) |
| --- | --- |
| 29.7 | 20.4 |
| 33.6 | 23.4 |
| 34.5 | 100.0 |
| 34.8 | 71.7 |
| 35.3 | 39.1 |
| 41.6 | 22.5 |
| 42.0 | 40.9 |
| 54.4 | 19.5 |
| 59.4 | 30.2 |
| 61.8 | 45.4 |